For CoHBrO, a DFT-relaxed cell (PBE+U, Alexandria) gives the simulated powder diffractogram in this record (Cu Kα).

Top 6 peaks for 10° ≤ 2θ ≤ 90°, in order of rising 2θ:
23.19°, d = 3.836 Å, I = 100, (1 0 0); 31.15°, d = 2.872 Å, I = 69, (0 0 2); 32.42°, d = 2.762 Å, I = 94, (0 2 0); 39.19°, d = 2.299 Å, I = 48, (1 0 2); 40.24°, d = 2.241 Å, I = 47, (1 2 0); 45.57°, d = 1.990 Å, I = 46, (0 2 2)

Structure:
Cell lengths 3.8358, 5.5232, 5.7432 Å; angles 90.00, 90.00, 90.00 degrees
Space group Amm2 (No. 38)
One atom of each set of equivalent atoms:
Co  0.0000  0.0000  0.0000 x2
H  0.5000  0.0000  0.2348 x2
Br  0.0000  0.0000  0.5502 x2
O  0.5000  0.0000  0.0634 x2